The following is a computed powder X-ray diffraction pattern of Na3Zn. It was derived from a structure optimized by DFT (GGA-PBE), using CuKα.
Lines closer than 0.1° are merged.

Atomic structure:
abc: 7.0458 7.0458 5.4456
angles: 90.00 90.00 120.00
Space group P6_3/mmc (No. 194)
Unique sites:
Na: 0.1731 0.3462 0.2500 [6 per cell]
Zn: 0.3333 0.6667 0.7500 [2 per cell]

Principal peaks in the range 10° ≤ 2θ ≤ 90°, most intense first:
- 33.67°, I 100
- 21.88°, I 28
- 29.27°, I 24
- 32.89°, I 24
- 62.83°, I 19
- 51.91°, I 19
- 44.59°, I 18
- 59.23°, I 18

The following is a computed powder X-ray diffraction pattern of Na3Zn. It was derived from a structure optimized by DFT (GGA-PBE), using CuKα.
Lines closer than 0.1° are merged.

Atomic structure:
abc: 4.8191 4.8191 10.0323
angles: 90.00 90.00 90.00
Space group I4/mmm (No. 139)
Unique sites:
Na: 0.0000 0.0000 0.0000 [2 per cell]
Na: 0.0000 0.5000 0.2500 [4 per cell]
Zn: 0.0000 0.0000 0.5000 [2 per cell]

Principal peaks in the range 10° ≤ 2θ ≤ 90°, most intense first:
- 31.75°, I 100
- 37.32°, I 32
- 20.44°, I 31
- 63.84°, I 23
- 52.68°, I 22
- 35.80°, I 18
- 61.80°, I 13
- 17.68°, I 11

The following is a computed powder X-ray diffraction pattern of Na3Zn. It was derived from a structure optimized by DFT (GGA-PBE), using CuKα.
Lines closer than 0.1° are merged.

Atomic structure:
abc: 4.8617 4.8617 4.8617
angles: 90.00 90.00 90.00
Space group Pm-3m (No. 221)
Unique sites:
Na: 0.0000 0.0000 0.5000 [3 per cell]
Zn: 0.5000 0.5000 0.5000 [1 per cell]

Principal peaks in the range 10° ≤ 2θ ≤ 90°, most intense first:
- 31.88°, I 100
- 36.98°, I 50
- 63.46°, I 36
- 53.30°, I 32
- 18.25°, I 31
- 25.92°, I 27
- 41.53°, I 15
- 87.45°, I 13